Diffraction record for Ba6CaNb2IrCl2O12. The XRD peak list is computed, not measured: it uses a crystal structure in the Materials Project, relaxed with PBE and Cu Kα (λ = 1.5418 Å).

Cell and atoms:
```
Ba6CaNb2IrCl2O12
1.0
5.9780 0.0000 0.0000
-2.9788 5.4472 0.0000
-0.1086 -2.3310 15.6126
Ba Ca Nb Ir Cl O
6 1 2 1 2 12
direct
0.0745 0.1635 0.2308 Ba
0.2304 0.4523 0.6337 Ba
0.2620 0.5087 0.8809 Ba
0.7380 0.4913 0.1191 Ba
0.7696 0.5477 0.3663 Ba
0.9255 0.8365 0.7692 Ba
0.0000 0.0000 0.0000 Ca
0.3976 0.8088 0.1894 Nb
0.6024 0.1912 0.8106 Nb
0.5000 0.0000 0.0000 Ir
0.1719 0.3437 0.4280 Cl
0.8281 0.6563 0.5720 Cl
0.1112 0.7284 0.2565 O
0.2311 0.9215 0.0944 O
0.2383 0.4719 0.1163 O
0.3174 0.0761 0.9100 O
0.3786 0.2668 0.7465 O
0.4059 0.8215 0.7594 O
0.5941 0.1785 0.2406 O
0.6214 0.7332 0.2535 O
0.6826 0.9239 0.0900 O
0.7617 0.5281 0.8837 O
0.7689 0.0785 0.9056 O
0.8888 0.2716 0.7435 O
```

Largest 8 diffraction maxima, in order of rising 2θ, 10 to 90 degrees two-theta:
2θ = 17.50°, d = 5.068 Å, I = 62, hkl 1 0 -1
2θ = 26.14°, d = 3.409 Å, I = 65, hkl 0 1 -4
2θ = 28.84°, d = 3.096 Å, I = 83, hkl 1 1 -1
2θ = 29.89°, d = 2.989 Å, I = 100, hkl 2 -1 0
2θ = 30.23°, d = 2.957 Å, I = 88, hkl 0 1 4
2θ = 30.30°, d = 2.950 Å, I = 32, hkl 1 1 1
2θ = 30.91°, d = 2.893 Å, I = 32, hkl 0 1 -5
2θ = 39.99°, d = 2.255 Å, I = 32, hkl 2 0 -4

---

Diffraction record for BaCa4Co2N4. The XRD peak list is computed, not measured: it uses a crystal structure in the Materials Project, relaxed with PBE and Cu Kα (λ = 1.5418 Å).

Cell and atoms:
```
BaCa4Co2N4
1.0
8.3760 0.0000 0.0000
0.0000 8.3760 0.0000
0.0000 0.0000 12.1094
Ba Ca Co N
4 16 8 16
direct
0.2500 0.2500 0.1578 Ba
0.2500 0.2500 0.6578 Ba
0.7500 0.7500 0.3422 Ba
0.7500 0.7500 0.8422 Ba
0.0838 0.6306 0.0955 Ca
0.0838 0.8694 0.5955 Ca
0.1306 0.5838 0.4045 Ca
0.1306 0.9162 0.9045 Ca
0.3694 0.5838 0.9045 Ca
0.3694 0.9162 0.4045 Ca
0.4162 0.6306 0.5955 Ca
0.4162 0.8694 0.0955 Ca
0.5838 0.1306 0.9045 Ca
0.5838 0.3694 0.4045 Ca
0.6306 0.0838 0.5955 Ca
0.6306 0.4162 0.0955 Ca
0.8694 0.0838 0.0955 Ca
0.8694 0.4162 0.5955 Ca
0.9162 0.1306 0.4045 Ca
0.9162 0.3694 0.9045 Ca
0.0939 0.5939 0.7500 Co
0.0939 0.9061 0.2500 Co
0.4061 0.5939 0.2500 Co
0.4061 0.9061 0.7500 Co
0.5939 0.0939 0.2500 Co
0.5939 0.4061 0.7500 Co
0.9061 0.0939 0.7500 Co
0.9061 0.4061 0.2500 Co
0.0688 0.6273 0.8950 N
0.0688 0.8727 0.3950 N
0.1273 0.5688 0.6050 N
0.1273 0.9312 0.1050 N
0.3727 0.5688 0.1050 N
0.3727 0.9312 0.6050 N
0.4312 0.6273 0.3950 N
0.4312 0.8727 0.8950 N
0.5688 0.1273 0.1050 N
0.5688 0.3727 0.6050 N
0.6273 0.0688 0.3950 N
0.6273 0.4312 0.8950 N
0.8727 0.0688 0.8950 N
0.8727 0.4312 0.3950 N
0.9312 0.1273 0.6050 N
0.9312 0.3727 0.1050 N
```

Largest 8 diffraction maxima, in order of rising 2θ, 10 to 90 degrees two-theta:
2θ = 14.63°, d = 6.055 Å, I = 19, hkl 0 0 2
2θ = 18.08°, d = 4.907 Å, I = 59, hkl 1 0 2
2θ = 28.01°, d = 3.186 Å, I = 64, hkl 2 1 2
2θ = 32.61°, d = 2.746 Å, I = 72, hkl 2 1 3
2θ = 33.84°, d = 2.649 Å, I = 100, hkl 3 1 0
2θ = 47.60°, d = 1.910 Å, I = 19, hkl 1 1 6
2θ = 57.04°, d = 1.615 Å, I = 18, hkl 5 0 2
2θ = 64.12°, d = 1.452 Å, I = 28, hkl 4 0 6

---

Diffraction record for BaCa2Co2N4. The XRD peak list is computed, not measured: it uses a crystal structure in the Materials Project, relaxed with PBE and Cu Kα (λ = 1.5418 Å).

Cell and atoms:
```
BaCa2Co2N4
1.0
11.7258 0.0000 0.0000
0.0000 8.0597 0.0000
0.0000 0.0000 9.1106
Ba Ca Co N
4 8 8 16
direct
0.1073 0.2183 0.0000 Ba
0.3927 0.7183 0.5000 Ba
0.6073 0.2817 0.0000 Ba
0.8927 0.7817 0.5000 Ba
0.1448 0.6458 0.8215 Ca
0.1621 0.1315 0.5970 Ca
0.3379 0.6315 0.0970 Ca
0.3552 0.1458 0.3215 Ca
0.6448 0.8542 0.8215 Ca
0.6621 0.3685 0.5970 Ca
0.8379 0.8685 0.0970 Ca
0.8552 0.3542 0.3215 Ca
0.0072 0.5741 0.1257 Co
0.0143 0.0741 0.2976 Co
0.4857 0.5741 0.7976 Co
0.4928 0.0741 0.6257 Co
0.5072 0.9259 0.1257 Co
0.5143 0.4259 0.2976 Co
0.9857 0.9259 0.7976 Co
0.9928 0.4259 0.6257 Co
0.1045 0.3726 0.7249 N
0.1256 0.9516 0.8027 N
0.1391 0.5531 0.0656 N
0.1496 0.1154 0.3272 N
0.3504 0.6154 0.8272 N
0.3609 0.0531 0.5656 N
0.3744 0.4516 0.3027 N
0.3955 0.8726 0.2249 N
0.6045 0.1274 0.7249 N
0.6256 0.5484 0.8027 N
0.6391 0.9469 0.0656 N
0.6496 0.3846 0.3272 N
0.8504 0.8846 0.8272 N
0.8609 0.4469 0.5656 N
0.8744 0.0484 0.3027 N
0.8955 0.6274 0.2249 N
```

Largest 8 diffraction maxima, in order of rising 2θ, 10 to 90 degrees two-theta:
2θ = 15.11°, d = 5.863 Å, I = 57, hkl 2 0 0
2θ = 17.99°, d = 4.930 Å, I = 100, hkl 2 0 1
2θ = 18.72°, d = 4.741 Å, I = 87, hkl 2 1 0
2θ = 25.33°, d = 3.516 Å, I = 42, hkl 1 2 1
2θ = 27.15°, d = 3.285 Å, I = 82, hkl 2 1 2
2θ = 31.48°, d = 2.842 Å, I = 77, hkl 0 1 3
2θ = 32.14°, d = 2.785 Å, I = 50, hkl 3 1 2
2θ = 34.82°, d = 2.577 Å, I = 49, hkl 0 3 1

---

Diffraction record for Ba2Ca2EuTi3Cu2O14. The XRD peak list is computed, not measured: it uses a crystal structure in the Materials Project, relaxed with PBE and Cu Kα (λ = 1.5418 Å).

Cell and atoms:
```
Ba2Ca2EuTi3Cu2O14
1.0
3.9137 0.0000 0.0000
0.0000 3.9137 0.0000
0.0000 0.0000 19.7351
Ba Ca Eu Ti Cu O
2 2 1 3 2 14
direct
0.0000 0.0000 0.1951 Ba
0.0000 0.0000 0.8049 Ba
0.0000 0.0000 0.3983 Ca
0.0000 0.0000 0.6017 Ca
0.0000 0.0000 0.0000 Eu
0.5000 0.5000 0.3021 Ti
0.5000 0.5000 0.5000 Ti
0.5000 0.5000 0.6979 Ti
0.5000 0.5000 0.0908 Cu
0.5000 0.5000 0.9092 Cu
0.0000 0.5000 0.0752 O
0.0000 0.5000 0.3075 O
0.0000 0.5000 0.5000 O
0.0000 0.5000 0.6925 O
0.0000 0.5000 0.9248 O
0.5000 0.0000 0.0752 O
0.5000 0.0000 0.3075 O
0.5000 0.0000 0.5000 O
0.5000 0.0000 0.6925 O
0.5000 0.0000 0.9248 O
0.5000 0.5000 0.2041 O
0.5000 0.5000 0.4024 O
0.5000 0.5000 0.5976 O
0.5000 0.5000 0.7959 O
```

Largest 8 diffraction maxima, in order of rising 2θ, 10 to 90 degrees two-theta:
2θ = 32.21°, d = 2.779 Å, I = 100, hkl 1 0 5
2θ = 32.35°, d = 2.767 Å, I = 46, hkl 1 1 0
2θ = 39.78°, d = 2.266 Å, I = 20, hkl 1 1 5
2θ = 46.40°, d = 1.957 Å, I = 35, hkl 2 0 0
2θ = 57.34°, d = 1.607 Å, I = 20, hkl 1 1 10
2θ = 57.61°, d = 1.600 Å, I = 37, hkl 2 1 5
2θ = 67.39°, d = 1.390 Å, I = 17, hkl 2 0 10
2θ = 77.02°, d = 1.238 Å, I = 15, hkl 3 0 5

---

Diffraction record for Ba2CaEu2Ti3Cu2O14. The XRD peak list is computed, not measured: it uses a crystal structure in the Materials Project, relaxed with PBE and Cu Kα (λ = 1.5418 Å).

Cell and atoms:
```
Ba2CaEu2Ti3Cu2O14
1.0
3.9135 0.0000 0.0000
0.0000 3.9135 0.0000
0.0000 0.0000 19.9096
Ba Ca Eu Ti Cu O
2 1 2 3 2 14
direct
0.0000 0.0000 0.0000 Ba
0.0000 0.0000 0.3811 Ba
0.0000 0.0000 0.7983 Ca
0.0000 0.0000 0.1913 Eu
0.0000 0.0000 0.5932 Eu
0.5000 0.5000 0.4921 Ti
0.5000 0.5000 0.6944 Ti
0.5000 0.5000 0.8915 Ti
0.5000 0.5000 0.1038 Cu
0.5000 0.5000 0.2787 Cu
0.0000 0.5000 0.1156 O
0.0000 0.5000 0.2680 O
0.0000 0.5000 0.5006 O
0.0000 0.5000 0.6882 O
0.0000 0.5000 0.8829 O
0.5000 0.0000 0.1156 O
0.5000 0.0000 0.2680 O
0.5000 0.0000 0.5006 O
0.5000 0.0000 0.6882 O
0.5000 0.0000 0.8829 O
0.5000 0.5000 0.3974 O
0.5000 0.5000 0.5939 O
0.5000 0.5000 0.7878 O
0.5000 0.5000 0.9861 O
```

Largest 8 diffraction maxima, in order of rising 2θ, 10 to 90 degrees two-theta:
2θ = 32.07°, d = 2.791 Å, I = 100, hkl 1 0 5
2θ = 32.35°, d = 2.767 Å, I = 47, hkl 1 1 0
2θ = 39.66°, d = 2.272 Å, I = 25, hkl 1 1 5
2θ = 45.56°, d = 1.991 Å, I = 13, hkl 0 0 10
2θ = 46.40°, d = 1.957 Å, I = 33, hkl 2 0 0
2θ = 56.98°, d = 1.616 Å, I = 17, hkl 1 1 10
2θ = 57.52°, d = 1.602 Å, I = 37, hkl 2 1 5
2θ = 67.06°, d = 1.396 Å, I = 15, hkl 2 0 10

---

Diffraction record for BaCaCuF7. The XRD peak list is computed, not measured: it uses a crystal structure in the Materials Project, relaxed with PBE and Cu Kα (λ = 1.5418 Å).

Cell and atoms:
```
BaCaCuF7
1.0
5.6885 0.0000 0.0000
0.0000 10.4844 0.0000
-0.3602 0.0000 9.9543
Ba Ca Cu F
4 4 4 28
direct
0.2380 0.1666 0.4939 Ba
0.2380 0.3334 0.9939 Ba
0.7620 0.6666 0.0061 Ba
0.7620 0.8334 0.5061 Ba
0.2079 0.5908 0.3209 Ca
0.2079 0.9092 0.8209 Ca
0.7921 0.0908 0.1791 Ca
0.7921 0.4092 0.6791 Ca
0.3095 0.6231 0.6895 Cu
0.3095 0.8769 0.1895 Cu
0.6905 0.1231 0.8105 Cu
0.6905 0.3769 0.3105 Cu
0.0336 0.7035 0.7619 F
0.0336 0.7965 0.2619 F
0.1081 0.5419 0.1163 F
0.1081 0.9581 0.6163 F
0.1620 0.0326 0.1302 F
0.1620 0.4674 0.6302 F
0.2162 0.7025 0.5201 F
0.2162 0.7975 0.0201 F
0.4028 0.0807 0.8942 F
0.4028 0.4193 0.3942 F
0.4122 0.5408 0.8527 F
0.4122 0.9592 0.3527 F
0.4889 0.7282 0.2515 F
0.4889 0.7718 0.7515 F
0.5111 0.2282 0.2485 F
0.5111 0.2718 0.7485 F
0.5878 0.0408 0.6473 F
0.5878 0.4592 0.1473 F
0.5972 0.5807 0.6058 F
0.5972 0.9193 0.1058 F
0.7838 0.2025 0.9799 F
0.7838 0.2975 0.4799 F
0.8380 0.5326 0.3698 F
0.8380 0.9674 0.8698 F
0.8919 0.0419 0.3837 F
0.8919 0.4581 0.8837 F
0.9664 0.2035 0.7381 F
0.9664 0.2965 0.2381 F
```

Largest 8 diffraction maxima, in order of rising 2θ, 10 to 90 degrees two-theta:
2θ = 24.57°, d = 3.623 Å, I = 100, hkl 1 2 -1
2θ = 24.84°, d = 3.584 Å, I = 43, hkl 1 1 -2
2θ = 24.98°, d = 3.565 Å, I = 27, hkl 1 2 1
2θ = 25.66°, d = 3.472 Å, I = 67, hkl 1 1 2
2θ = 28.21°, d = 3.163 Å, I = 33, hkl 0 1 3
2θ = 31.48°, d = 2.842 Å, I = 29, hkl 2 0 0
2θ = 39.04°, d = 2.307 Å, I = 37, hkl 1 4 1
2θ = 51.80°, d = 1.765 Å, I = 26, hkl 3 2 -1